This entry pairs a crystal structure of Sr2LiLaTaO6 with its computed XRD peak list. Radiation: Cu Kα X-rays. Structure: a GGA-PBE-relaxed structure.

Structural model:
a = 5.8994 Å, b = 5.8994 Å, c = 6.7195 Å
α = 116.20°, β = 116.20°, γ = 59.86°
Positions (direct):
Sr  0.0000  0.0000  0.0000
Sr  0.5262  0.5262  0.5828
Li  0.3517  0.3517  0.0548
La  0.2008  0.2008  0.6024
Ta  0.7146  0.7146  0.1427
O  0.4531  0.9386  0.3269
O  0.4757  0.4757  0.9061
O  0.4756  0.9545  0.9055
O  0.9375  0.9375  0.3274
O  0.9386  0.4531  0.3269
O  0.9545  0.4756  0.9055

Main lines, by angle (10 to 80 degrees two-theta):
20.18°, d = 4.400 Å, I 74
26.98°, d = 3.305 Å, I 75
30.32°, d = 2.948 Å, I 100
30.93°, d = 2.891 Å, I 15
41.03°, d = 2.200 Å, I 42
43.80°, d = 2.067 Å, I 22
43.90°, d = 2.062 Å, I 44
48.32°, d = 1.884 Å, I 14
51.91°, d = 1.761 Å, I 17
63.46°, d = 1.466 Å, I 18

---

This entry pairs a crystal structure of SrLiLaTi3O9 with its computed XRD peak list. Radiation: Cu Kα X-rays. Structure: a GGA-PBE-relaxed structure.

Structural model:
a = 5.5299 Å, b = 5.5299 Å, c = 6.7882 Å
α = 90.00°, β = 90.00°, γ = 120.00°
Positions (direct):
Sr  0.0000  0.0000  0.0000
Li  0.3333  0.6667  0.6692
La  0.6667  0.3333  0.3417
Ti  0.0000  0.0000  0.5102
Ti  0.3333  0.6667  0.1671
Ti  0.6667  0.3333  0.8336
O  0.1652  0.3303  0.3346
O  0.1652  0.8348  0.3346
O  0.3388  0.1694  0.6651
O  0.5041  0.0081  0.0121
O  0.5041  0.4959  0.0121
O  0.6697  0.8348  0.3346
O  0.8306  0.1694  0.6651
O  0.8306  0.6612  0.6651
O  0.9919  0.4959  0.0121

Main lines, by angle (10 to 80 degrees two-theta):
13.04°, d = 6.788 Å, I 16
18.53°, d = 4.789 Å, I 25
22.72°, d = 3.913 Å, I 17
32.35°, d = 2.767 Å, I 100
39.91°, d = 2.259 Å, I 22
46.41°, d = 1.957 Å, I 44
57.69°, d = 1.598 Å, I 31
67.67°, d = 1.385 Å, I 12
67.79°, d = 1.382 Å, I 12
77.07°, d = 1.237 Å, I 17

---

This entry pairs a crystal structure of LiLaTa2O7 with its computed XRD peak list. Radiation: Cu Kα X-rays. Structure: a GGA-PBE-relaxed structure.

Structural model:
a = 10.7274 Å, b = 10.7274 Å, c = 10.7274 Å
α = 159.11°, β = 159.11°, γ = 29.71°
Positions (direct):
Li  0.0000  0.0000  0.0000
La  0.7500  0.2500  0.5000
Ta  0.1385  0.6385  0.5000
Ta  0.3615  0.8615  0.5000
O  0.0513  0.5513  0.5000
O  0.1600  0.1600  0.0000
O  0.2500  0.7500  0.5000
O  0.3390  0.3390  0.0000
O  0.4487  0.9487  0.5000
O  0.6610  0.6610  0.0000
O  0.8400  0.8400  0.0000

Main lines, by angle (10 to 80 degrees two-theta):
17.10°, d = 5.184 Å, I 28
23.27°, d = 3.823 Å, I 33
26.29°, d = 3.390 Å, I 98
31.53°, d = 2.837 Å, I 100
32.56°, d = 2.750 Å, I 58
46.71°, d = 1.945 Å, I 35
48.24°, d = 1.886 Å, I 30
54.39°, d = 1.687 Å, I 26
55.50°, d = 1.656 Å, I 19
57.45°, d = 1.604 Å, I 39

---

This entry pairs a crystal structure of Li2LaTa2O7 with its computed XRD peak list. Radiation: Cu Kα X-rays. Structure: a GGA-PBE-relaxed structure.

Structural model:
a = 9.7066 Å, b = 9.7066 Å, c = 9.7066 Å
α = 156.21°, β = 156.21°, γ = 33.89°
Positions (direct):
Li  0.2500  0.7500  0.5000
Li  0.7500  0.2500  0.5000
La  0.0000  0.0000  0.0000
Ta  0.3871  0.3871  0.0000
Ta  0.6129  0.6129  0.0000
O  0.0971  0.5971  0.5000
O  0.2847  0.2847  0.0000
O  0.4029  0.9029  0.5000
O  0.5000  0.5000  0.0000
O  0.5971  0.0971  0.5000
O  0.7153  0.7153  0.0000
O  0.9029  0.4029  0.5000

Main lines, by angle (10 to 80 degrees two-theta):
19.12°, d = 4.643 Å, I 21
22.74°, d = 3.911 Å, I 34
26.53°, d = 3.360 Å, I 100
31.63°, d = 2.829 Å, I 64
32.90°, d = 2.722 Å, I 92
45.33°, d = 2.000 Å, I 41
50.88°, d = 1.795 Å, I 27
53.29°, d = 1.719 Å, I 29
57.14°, d = 1.612 Å, I 40
61.16°, d = 1.515 Å, I 19

---

This entry pairs a crystal structure of LiLa5Ti8O24 with its computed XRD peak list. Radiation: Cu Kα X-rays. Structure: a GGA-PBE-relaxed structure.

Structural model:
a = 5.5081 Å, b = 9.5721 Å, c = 9.6038 Å
α = 109.86°, β = 90.41°, γ = 90.07°
Positions (direct):
Li  0.0000  0.0000  0.0000
La  0.0791  0.7567  0.1780
La  0.0811  0.5068  0.4240
La  0.0838  0.2586  0.6805
La  0.5730  0.5140  0.9303
La  0.5751  0.0106  0.4347
Ti  0.0716  0.6490  0.8052
Ti  0.0743  0.1385  0.3020
Ti  0.0800  0.3701  0.0532
Ti  0.0807  0.8851  0.5697
Ti  0.5622  0.8943  0.0478
Ti  0.5755  0.3912  0.5557
Ti  0.5798  0.6325  0.3078
Ti  0.5820  0.1250  0.8150
O  0.0479  0.2490  0.1668
O  0.0488  0.7333  0.6496
O  0.1164  0.5313  0.9464
O  0.1178  0.0313  0.4452
O  0.3073  0.5088  0.1989
O  0.3097  0.2846  0.4237
O  0.3140  0.5032  0.6819
O  0.3144  0.7664  0.4187
O  0.3191  0.7762  0.9240
O  0.3202  0.0019  0.1854
O  0.3249  0.0101  0.6878
O  0.3311  0.2747  0.9174
O  0.5401  0.2458  0.6565
O  0.5408  0.7426  0.1598
O  0.6159  0.5259  0.4415
O  0.6387  0.0253  0.9439
O  0.8245  0.4913  0.7035
O  0.8263  0.2886  0.9035
O  0.8265  0.7851  0.4061
O  0.8266  0.0270  0.6655
O  0.8287  0.9894  0.2006
O  0.8321  0.5231  0.1761
O  0.8324  0.7583  0.9431
O  0.8332  0.2612  0.4411

Main lines, by angle (10 to 80 degrees two-theta):
11.28°, d = 7.847 Å, I 56
25.61°, d = 3.479 Å, I 20
32.24°, d = 2.776 Å, I 24
32.45°, d = 2.759 Å, I 100
32.51°, d = 2.754 Å, I 24
46.28°, d = 1.962 Å, I 19
46.46°, d = 1.955 Å, I 21
46.82°, d = 1.940 Å, I 19
57.95°, d = 1.591 Å, I 20
67.92°, d = 1.380 Å, I 15

---

This entry pairs a crystal structure of LiLaTiO4 with its computed XRD peak list. Radiation: Cu Kα X-rays. Structure: a GGA-PBE-relaxed structure.

Structural model:
a = 3.7759 Å, b = 3.7759 Å, c = 12.3450 Å
α = 90.00°, β = 90.00°, γ = 90.00°
Positions (direct):
Li  0.2500  0.7500  0.0000
Li  0.7500  0.2500  0.0000
La  0.2500  0.2500  0.3829
La  0.7500  0.7500  0.6171
Ti  0.2500  0.2500  0.7940
Ti  0.7500  0.7500  0.2060
O  0.2500  0.2500  0.5750
O  0.2500  0.2500  0.9393
O  0.2500  0.7500  0.2455
O  0.2500  0.7500  0.7545
O  0.7500  0.2500  0.2455
O  0.7500  0.2500  0.7545
O  0.7500  0.7500  0.0607
O  0.7500  0.7500  0.4250

Main lines, by angle (10 to 80 degrees two-theta):
27.69°, d = 3.221 Å, I 100
32.17°, d = 2.782 Å, I 32
33.56°, d = 2.670 Å, I 38
34.36°, d = 2.610 Å, I 20
36.39°, d = 2.469 Å, I 15
43.81°, d = 2.066 Å, I 12
44.89°, d = 2.019 Å, I 25
48.20°, d = 1.888 Å, I 26
50.34°, d = 1.813 Å, I 19
56.50°, d = 1.629 Å, I 27

---

This entry pairs a crystal structure of LiLa5Ti8O24 with its computed XRD peak list. Radiation: Cu Kα X-rays. Structure: a GGA-PBE-relaxed structure.

Structural model:
a = 8.7063 Å, b = 8.7063 Å, c = 8.7648 Å
α = 113.38°, β = 113.38°, γ = 53.18°
Positions (direct):
Li  0.0000  0.0000  0.0000
La  0.1189  0.1189  0.5019
La  0.2437  0.2437  0.0002
La  0.3646  0.3646  0.4982
La  0.6170  0.6170  0.5023
La  0.8696  0.8696  0.4991
Ti  0.0558  0.5623  0.7605
Ti  0.1764  0.6821  0.2402
Ti  0.3109  0.8011  0.7602
Ti  0.4312  0.9213  0.2408
Ti  0.5623  0.0558  0.7605
Ti  0.6821  0.1764  0.2402
Ti  0.8011  0.3109  0.7602
Ti  0.9213  0.4312  0.2408
O  0.0540  0.0540  0.7327
O  0.0685  0.5476  0.2648
O  0.1229  0.6003  0.0004
O  0.1681  0.6824  0.7322
O  0.1862  0.1862  0.2651
O  0.2406  0.7432  0.5001
O  0.2972  0.2972  0.7388
O  0.3077  0.8117  0.2693
O  0.3401  0.9009  0.0003
O  0.4173  0.9343  0.7358
O  0.4297  0.4297  0.2678
O  0.4859  0.9986  0.5007
O  0.5476  0.0685  0.2648
O  0.5497  0.5497  0.7272
O  0.6003  0.1229  0.0004
O  0.6824  0.1681  0.7322
O  0.6880  0.6880  0.2776
O  0.7432  0.2406  0.5001
O  0.7983  0.7983  0.7254
O  0.8117  0.3077  0.2693
O  0.9009  0.3401  0.0003
O  0.9343  0.4173  0.7358
O  0.9351  0.9351  0.2679
O  0.9986  0.4859  0.5007

Main lines, by angle (10 to 80 degrees two-theta):
11.26°, d = 7.855 Å, I 59
25.53°, d = 3.489 Å, I 39
32.37°, d = 2.765 Å, I 100
32.51°, d = 2.754 Å, I 49
34.51°, d = 2.599 Å, I 12
39.98°, d = 2.255 Å, I 31
46.23°, d = 1.964 Å, I 20
46.64°, d = 1.947 Å, I 41
57.92°, d = 1.592 Å, I 38
77.44°, d = 1.232 Å, I 12